Computed X-ray powder pattern of Tb3Pm4Dy3 for Cu Kα, from a DFT-relaxed cell (GGA-PBE, Alexandria).
Neutral-atom scattering factors, no anomalous dispersion.

Structure:
Cell: 3.8042 13.1899 13.2010 Å, 90.00 90.00 90.00°
Space group Amm2 (No. 38)
Inequivalent atoms, fractional coordinates:
Tb 0.0000 0.0000 0.0000 x2
Tb 0.0000 0.1690 0.6690 x4
Pm 0.5000 0.0000 0.5385 x2
Pm 0.5000 0.0000 0.7995 x2
Pm 0.5000 0.1303 0.1691 x4
Dy 0.0000 0.0000 0.3380 x2
Dy 0.5000 0.2495 0.4190 x4

Top 10 peaks for 2θ = 10–90°, most intense first:
hkl	d [Å]	Rel. int.
1 1 3	2.811	100.0
0 4 2	2.950	88.5
0 8 0	1.649	23.2
2 4 2	1.599	22.2
2 0 0	1.903	19.1
1 7 3	1.577	18.7
0 4 0	3.298	15.3
0 4 4	2.332	13.2
1 5 3	1.945	13.1
0 4 10	1.225	8.3